For FeNi2Hg, a DFT-relaxed cell (PBE, Alexandria) gives the computed XRD peak list in this record (a wavelength of 1.5418 Å).

```
FeNi2Hg
1.0
2.8521 0.0000 0.0000
0.0000 3.0681 0.0000
0.0000 0.0000 6.3062
Fe Ni Hg
1 2 1
Direct
0.0000 0.0000 0.0000
0.5000 0.5000 0.2045
0.5000 0.5000 0.7955
0.0000 0.0000 0.5000
```

Largest 10 diffraction maxima, sorted by position, 2θ from 10° to 90°:
Position (°2θ), I/Imax, (hkl)
14.0, 48, 0 0 1
32.5, 44, 0 1 1
34.5, 38, 1 0 1
41.0, 100, 0 1 2
42.7, 89, 1 0 2
43.3, 95, 1 1 0
62.7, 25, 1 1 3
75.6, 23, 1 1 4
76.7, 30, 1 2 2
80.2, 27, 2 1 2